# Sc7V9O24
Computed X-ray diffraction stick pattern, λ = 1.5418 Å (Cu Kα). Input: DFT lattice parameters and positions (PBE+U).
No peak broadening, texture or thermal motion is included.

Atomic structure:
```
40
Lattice="8.3854 0.0000 0.0000 -2.6921 7.9556 0.0000 -2.8357 -3.9819 6.8957" Properties=species:S:1:pos:R:3 pbc="T T T"
Sc 0.0000 0.0000 0.0000
Sc -2.3986 -1.2908 5.1827
Sc 0.0162 2.5466 1.9847
Sc 0.0316 5.9587 3.4339
Sc 0.0028 2.9657 5.6742
Sc 2.8614 6.5077 1.9830
Sc 3.2060 1.1127 5.4287
V -2.3675 4.6770 1.7583
V -2.3923 1.7100 3.9427
V 0.2505 5.8157 0.2517
V 0.1931 -0.1587 3.6916
V 0.3694 -2.8405 5.4283
V 2.8084 0.9761 2.2021
V 3.2346 3.6544 0.5201
V 5.7571 1.8367 0.3050
V 3.0781 3.8045 3.6884
O -0.6024 2.0741 0.0013
O -1.8512 -0.2191 3.3979
O -2.1054 2.6861 2.1886
O -1.8168 6.0981 0.3677
O -3.1323 0.6052 5.6217
O -4.3131 4.6668 5.3018
O -2.1343 5.8138 3.4138
O 0.8495 0.5837 1.8053
O -2.1274 3.0594 5.4982
O -0.2398 4.6042 1.8460
O -0.3343 -0.9520 5.6240
O -0.2518 1.8141 3.9635
O 2.3177 5.4481 0.1834
O 3.5280 -0.8862 1.7818
O 2.0846 2.9750 2.0877
O 2.3843 -2.9138 5.2880
O 2.1871 -0.0268 4.0033
O 3.7700 1.5785 0.5678
O 2.0550 2.8792 5.2063
O 2.0687 5.6601 3.7861
O 2.3887 -0.2054 6.8765
O 6.3459 -0.1256 0.5715
O 4.0112 1.9137 3.6024
O 4.0451 4.7570 2.1575
```

Peak list (6 most intense, 15° ≤ 2θ ≤ 90°, in order of rising 2θ)
h k l, 2θ/deg, Rel. int.
0 1 -2, 22.3, 202
1 1 1, 31.8, 1000
1 -3 1, 32.0, 973
2 -2 2, 37.1, 157
0 4 0, 53.2, 643
4 0 -4, 53.3, 162